Structure and simulated XRD peak list of K3Sn7Au4 (DFT lattice parameters and positions (PBE); Cu Kα (weighted mean of Kα1 and Kα2)).
Lines closer than 0.1° are merged.

The 8 most intense peaks (10° ≤ 2θ ≤ 90°), most intense first:
two_theta  I (rel.)  index
31.3  100  5 1 -2
20.2  90  4 0 -1
37.4  84  0 2 0
30.7  83  1 1 2
16.6  78  2 0 -2
36.7  52  6 0 0
43.4  43  7 1 -4
39.6  39  1 1 3

Crystal structure
```
data_K3Sn7Au4
_chemical_formula_sum 'K6 Sn14 Au8'
_symmetry_space_group_name_H-M 'C 1 2/m 1'
_symmetry_Int_Tables_number 12
_cell_length_a 17.9198
_cell_length_b 4.8142
_cell_length_c 10.6578
_cell_angle_alpha 90.00
_cell_angle_beta 124.99
_cell_angle_gamma 90.00
loop_
_symmetry_equiv_pos_as_xyz
'x,y,z'
'-x,-y,-z'
'-x,y,-z'
'x,-y,z'
'x+1/2,y+1/2,z'
'-x+1/2,-y+1/2,-z'
'-x+1/2,y+1/2,-z'
'x+1/2,-y+1/2,z'
loop_
_atom_site_label
_atom_site_fract_x
_atom_site_fract_y
_atom_site_fract_z
K1 0.0000 0.0000 0.0000
K2 0.1892 0.5000 0.6936
Sn1 0.0000 0.0000 0.5000
Sn2 0.0014 0.5000 0.2884
Sn3 0.1594 0.0000 0.4231
Sn4 0.1792 0.5000 0.0337
Au1 0.1288 0.0000 0.8573
Au2 0.1633 0.5000 0.2856
```

---

Structure and simulated XRD peak list of K8Te2Au3 (DFT lattice parameters and positions (PBE); Cu Kα (weighted mean of Kα1 and Kα2)).
Lines closer than 0.1° are merged.

The 8 most intense peaks (10° ≤ 2θ ≤ 90°), most intense first:
two_theta  I (rel.)  index
30.9  100  2 4 1
18.9  49  0 2 1
31.4  49  0 0 2
55.6  36  2 4 3
10.6  25  0 2 0
22.1  21  2 0 1
45.0  19  4 0 2
54.7  18  0 8 2

Crystal structure
```
data_K8Te2Au3
_chemical_formula_sum 'K16 Te4 Au6'
_symmetry_space_group_name_H-M 'C m m m'
_symmetry_Int_Tables_number 65
_symmetry_space_group_name_Hall '-C 2 2'
_cell_length_a 11.4064
_cell_length_b 16.6300
_cell_length_c 5.6900
_cell_angle_alpha 90.00
_cell_angle_beta 90.00
_cell_angle_gamma 90.00
loop_
_atom_site_label
_atom_site_fract_x
_atom_site_fract_y
_atom_site_fract_z
K1 0.0000 0.1221 0.0000
K2 0.0000 0.3770 0.0000
K3 0.2387 0.3755 0.5000
Te1 0.0000 0.2393 0.5000
Au1 0.0000 0.5000 0.5000
Au2 0.2463 0.0000 0.0000
```

---

Structure and simulated XRD peak list of KTlTe2Au (DFT lattice parameters and positions (PBE); Cu Kα (weighted mean of Kα1 and Kα2)).
Lines closer than 0.1° are merged.

The 8 most intense peaks (10° ≤ 2θ ≤ 90°), most intense first:
two_theta  I (rel.)  index
12.5  100  1 0 0
30.6  61  1 2 0
26.4  57  1 1 -2
37.8  53  2 2 0
26.8  52  0 1 2
31.5  42  2 1 -2
32.7  41  1 1 2
19.7  34  1 1 -1

Crystal structure
```
data_KTlTe2Au
_chemical_formula_sum 'K2 Tl2 Te4 Au2'
_symmetry_space_group_name_H-M 'P 1 2/c 1'
_symmetry_Int_Tables_number 13
_cell_length_a 7.4862
_cell_length_b 6.4138
_cell_length_c 8.1948
_cell_angle_alpha 90.00
_cell_angle_beta 108.34
_cell_angle_gamma 90.00
loop_
_symmetry_equiv_pos_as_xyz
'x,y,z'
'-x,-y,-z'
'-x,y,-z+1/2'
'x,-y,z+1/2'
loop_
_atom_site_label
_atom_site_fract_x
_atom_site_fract_y
_atom_site_fract_z
K1 0.0000 0.2232 0.2500
Tl1 0.5000 0.4892 0.2500
Te1 0.2216 0.2665 0.9215
Au1 0.5000 0.0000 0.0000
```

---

Structure and simulated XRD peak list of KU4Te12Au3 (DFT lattice parameters and positions (PBE); Cu Kα (weighted mean of Kα1 and Kα2)).
Lines closer than 0.1° are merged.

The 8 most intense peaks (10° ≤ 2θ ≤ 90°), most intense first:
two_theta  I (rel.)  index
39.7  100  4 2 2
22.6  73  2 2 0
71.9  44  6 6 0
25.3  44  3 1 0
32.2  40  4 0 0
51.9  26  6 0 2
62.4  25  6 4 2
47.6  24  5 0 3

Crystal structure
```
data_KU4Te12Au3
_chemical_formula_sum 'K2 U8 Te24 Au6'
_symmetry_space_group_name_H-M 'I m -3'
_symmetry_Int_Tables_number 204
_symmetry_space_group_name_Hall '-I 2 2 3'
_cell_length_a 11.1358
_cell_length_b 11.1358
_cell_length_c 11.1358
_cell_angle_alpha 90.00
_cell_angle_beta 90.00
_cell_angle_gamma 90.00
loop_
_atom_site_label
_atom_site_fract_x
_atom_site_fract_y
_atom_site_fract_z
K1 0.0000 0.0000 0.0000
U1 0.2500 0.2500 0.2500
Te1 0.0000 0.1706 0.3157
Au1 0.0000 0.0000 0.5000
```

---

Structure and simulated XRD peak list of K2ZrTe4Au (DFT lattice parameters and positions (PBE); Cu Kα (weighted mean of Kα1 and Kα2)).
Lines closer than 0.1° are merged.

The 8 most intense peaks (10° ≤ 2θ ≤ 90°), most intense first:
two_theta  I (rel.)  index
13.6  100  0 2 2
24.9  98  1 3 3
37.7  76  2 4 2
13.9  65  0 0 4
35.4  57  2 0 6
37.0  53  0 4 8
23.2  47  1 1 5
45.7  38  2 0 10

Crystal structure
```
data_K2ZrTe4Au
_chemical_formula_sum 'K16 Zr8 Te32 Au8'
_symmetry_space_group_name_H-M 'F d d d'
_symmetry_Int_Tables_number 70
_cell_length_a 6.3384
_cell_length_b 15.0854
_cell_length_c 25.4443
_cell_angle_alpha 90.00
_cell_angle_beta 90.00
_cell_angle_gamma 90.00
loop_
_symmetry_equiv_pos_as_xyz
'x,y,z'
'-x,-y,-z'
'-x+1/4,-y+1/4,z'
'x+1/4,y+1/4,-z'
'x,-y+1/4,-z+1/4'
'-x,y+1/4,z+1/4'
'-x+1/4,y,-z+1/4'
'x+1/4,-y,z+1/4'
'x,y+1/2,z+1/2'
'-x,-y+1/2,-z+1/2'
'-x+1/4,-y+3/4,z+1/2'
'x+1/4,y+3/4,-z+1/2'
'x,-y+3/4,-z+3/4'
'-x,y+3/4,z+3/4'
'-x+1/4,y+1/2,-z+3/4'
'x+1/4,-y+1/2,z+3/4'
'x+1/2,y,z+1/2'
'-x+1/2,-y,-z+1/2'
'-x+3/4,-y+1/4,z+1/2'
'x+3/4,y+1/4,-z+1/2'
'x+1/2,-y+1/4,-z+3/4'
'-x+1/2,y+1/4,z+3/4'
'-x+3/4,y,-z+3/4'
'x+3/4,-y,z+3/4'
'x+1/2,y+1/2,z'
'-x+1/2,-y+1/2,-z'
'-x+3/4,-y+3/4,z'
'x+3/4,y+3/4,-z'
'x+1/2,-y+3/4,-z+1/4'
'-x+1/2,y+3/4,z+1/4'
'-x+3/4,y+1/2,-z+1/4'
'x+3/4,-y+1/2,z+1/4'
loop_
_atom_site_label
_atom_site_fract_x
_atom_site_fract_y
_atom_site_fract_z
K1 0.1250 0.1250 0.3062
Zr1 0.1250 0.1250 0.1250
Te1 0.1211 0.2602 0.4335
Au1 0.1250 0.1250 0.6250
```

---

Structure and simulated XRD peak list of KTl12Au5 (DFT lattice parameters and positions (PBE); Cu Kα (weighted mean of Kα1 and Kα2)).
Lines closer than 0.1° are merged.

The 8 most intense peaks (10° ≤ 2θ ≤ 90°), most intense first:
two_theta  I (rel.)  index
31.1  100  2 2 2
31.5  98  0 0 4
35.6  82  3 2 1
34.6  67  3 1 2
37.1  50  0 4 0
58.7  33  3 5 2
36.5  27  0 3 3
37.2  25  2 0 4

Crystal structure
```
data_KTl12Au5
_chemical_formula_sum 'K2 Tl24 Au10'
_symmetry_space_group_name_H-M 'I m m m'
_symmetry_Int_Tables_number 71
_symmetry_space_group_name_Hall '-I 2 2'
_cell_length_a 9.1576
_cell_length_b 9.6971
_cell_length_c 11.3864
_cell_angle_alpha 90.00
_cell_angle_beta 90.00
_cell_angle_gamma 90.00
loop_
_atom_site_label
_atom_site_fract_x
_atom_site_fract_y
_atom_site_fract_z
K1 0.0000 0.0000 0.0000
Tl1 0.0000 0.2916 0.1827
Tl2 0.1815 0.2701 0.5000
Tl3 0.1947 0.0000 0.2649
Au1 0.0000 0.0000 0.5000
Au2 0.0000 0.5000 0.3710
Au3 0.1528 0.5000 0.0000
```

---

Structure and simulated XRD peak list of K3Tl2Au2 (DFT lattice parameters and positions (PBE); Cu Kα (weighted mean of Kα1 and Kα2)).
Lines closer than 0.1° are merged.

The 8 most intense peaks (10° ≤ 2θ ≤ 90°), most intense first:
two_theta  I (rel.)  index
32.4  100  2 1 3
17.2  92  1 1 1
33.6  75  1 3 0
12.7  70  1 0 0
16.9  62  1 0 2
19.8  58  1 1 2
30.5  44  0 2 4
29.5  41  1 2 3

Crystal structure
```
data_K3Tl2Au2
_chemical_formula_sum 'K12 Tl8 Au8'
_symmetry_space_group_name_H-M 'P b c m'
_symmetry_Int_Tables_number 57
_cell_length_a 6.9860
_cell_length_b 8.6509
_cell_length_c 15.9619
_cell_angle_alpha 90.00
_cell_angle_beta 90.00
_cell_angle_gamma 90.00
loop_
_symmetry_equiv_pos_as_xyz
'x,y,z'
'-x,-y,-z'
'-x,-y,z+1/2'
'x,y,-z+1/2'
'x,-y+1/2,-z'
'-x,y+1/2,z'
'-x,y+1/2,-z+1/2'
'x,-y+1/2,z+1/2'
loop_
_atom_site_label
_atom_site_fract_x
_atom_site_fract_y
_atom_site_fract_z
K1 0.0929 0.0994 0.1076
K2 0.3337 0.7430 0.7500
Tl1 0.3977 0.0445 0.5905
Au1 0.1897 0.1133 0.7500
Au2 0.3324 0.7500 0.0000
```

---

Structure and simulated XRD peak list of K2Tl9Au3 (DFT lattice parameters and positions (PBE); Cu Kα (weighted mean of Kα1 and Kα2)).
Lines closer than 0.1° are merged.

The 8 most intense peaks (10° ≤ 2θ ≤ 90°), most intense first:
two_theta  I (rel.)  index
31.0  100  3 1 2
34.7  93  3 3 -1
30.2  55  3 1 -4
32.9  50  6 0 -2
31.3  45  0 2 3
15.7  42  0 0 2
37.9  39  0 2 4
38.0  32  3 3 -3

Crystal structure
```
data_K2Tl9Au3
_chemical_formula_sum 'K8 Tl36 Au12'
_symmetry_space_group_name_H-M 'C 1 2/c 1'
_symmetry_Int_Tables_number 15
_cell_length_a 16.3452
_cell_length_b 8.8228
_cell_length_c 12.6845
_cell_angle_alpha 90.00
_cell_angle_beta 117.26
_cell_angle_gamma 90.00
loop_
_symmetry_equiv_pos_as_xyz
'x,y,z'
'-x,-y,-z'
'-x,y,-z+1/2'
'x,-y,z+1/2'
'x+1/2,y+1/2,z'
'-x+1/2,-y+1/2,-z'
'-x+1/2,y+1/2,-z+1/2'
'x+1/2,-y+1/2,z+1/2'
loop_
_atom_site_label
_atom_site_fract_x
_atom_site_fract_y
_atom_site_fract_z
K1 0.1855 0.0663 0.2491
Tl1 0.0000 0.3307 0.2500
Tl2 0.0560 0.0447 0.9142
Tl3 0.0967 0.3890 0.0495
Tl4 0.0984 0.3185 0.7520
Tl5 0.2215 0.4120 0.4274
Au1 0.1031 0.2618 0.5280
Au2 0.2500 0.2500 0.0000
```

---

Structure and simulated XRD peak list of K3TlAu4 (DFT lattice parameters and positions (PBE); Cu Kα (weighted mean of Kα1 and Kα2)).
Lines closer than 0.1° are merged.

The 8 most intense peaks (10° ≤ 2θ ≤ 90°), most intense first:
two_theta  I (rel.)  index
13.8  100  0 1 1
35.0  55  3 2 2
23.5  54  1 2 1
11.7  48  1 0 1
26.4  43  2 2 1
37.9  37  2 2 3
35.9  35  1 2 3
18.8  34  0 0 2

Crystal structure
```
data_K3TlAu4
_chemical_formula_sum 'K12 Tl4 Au16'
_symmetry_space_group_name_H-M 'P n m a'
_symmetry_Int_Tables_number 62
_cell_length_a 12.8308
_cell_length_b 8.7497
_cell_length_c 9.4247
_cell_angle_alpha 90.00
_cell_angle_beta 90.00
_cell_angle_gamma 90.00
loop_
_symmetry_equiv_pos_as_xyz
'x,y,z'
'-x,-y,-z'
'-x+1/2,-y,z+1/2'
'x+1/2,y,-z+1/2'
'x+1/2,-y+1/2,-z+1/2'
'-x+1/2,y+1/2,z+1/2'
'-x,y+1/2,-z'
'x,-y+1/2,z'
loop_
_atom_site_label
_atom_site_fract_x
_atom_site_fract_y
_atom_site_fract_z
K1 0.0650 0.2500 0.2161
K2 0.1654 0.0231 0.6036
Tl1 0.0808 0.7500 0.1379
Au1 0.0378 0.7500 0.4486
Au2 0.1030 0.0152 0.9453
Au3 0.2436 0.2500 0.8745
```

---

Structure and simulated XRD peak list of K2Tl12Au7 (DFT lattice parameters and positions (PBE); Cu Kα (weighted mean of Kα1 and Kα2)).
Lines closer than 0.1° are merged.

The 8 most intense peaks (10° ≤ 2θ ≤ 90°), most intense first:
two_theta  I (rel.)  index
29.6  100  2 1 1
36.5  59  1 3 1
39.6  58  1 4 0
38.4  33  0 0 2
56.3  27  1 4 2
14.7  24  1 1 0
65.7  22  5 3 1
37.6  20  3 2 0

Crystal structure
```
data_K2Tl12Au7
_chemical_formula_sum 'K2 Tl12 Au7'
_symmetry_space_group_name_H-M 'P -6'
_symmetry_Int_Tables_number 174
_cell_length_a 12.0498
_cell_length_b 12.0498
_cell_length_c 4.6867
_cell_angle_alpha 90.00
_cell_angle_beta 90.00
_cell_angle_gamma 120.00
loop_
_symmetry_equiv_pos_as_xyz
'x,y,z'
'-x+y,-x,-z'
'-y,x-y,z'
'x,y,-z'
'-x+y,-x,z'
'-y,x-y,-z'
loop_
_atom_site_label
_atom_site_fract_x
_atom_site_fract_y
_atom_site_fract_z
K1 0.0000 0.0000 0.0000
K2 0.3333 0.6667 0.5000
Tl1 0.0465 0.2733 0.5000
Tl2 0.1138 0.7118 0.0000
Tl3 0.3876 0.1854 0.0000
Tl4 0.5494 0.4384 0.5000
Au1 0.0718 0.4512 0.0000
Au2 0.2586 0.2226 0.5000
Au3 0.6667 0.3333 0.0000
```

---

Structure and simulated XRD peak list of K2Tl5Au3 (DFT lattice parameters and positions (PBE); Cu Kα (weighted mean of Kα1 and Kα2)).
Lines closer than 0.1° are merged.

The 8 most intense peaks (10° ≤ 2θ ≤ 90°), most intense first:
two_theta  I (rel.)  index
30.1  100  1 3 2
36.2  74  2 0 0
40.3  69  1 9 2
30.3  68  1 7 1
33.3  47  1 9 0
16.5  45  0 4 1
39.3  34  1 3 3
20.1  33  1 3 0

Crystal structure
```
data_K2Tl5Au3
_chemical_formula_sum 'K8 Tl20 Au12'
_symmetry_space_group_name_H-M 'C m c 21'
_symmetry_Int_Tables_number 36
_cell_length_a 4.9643
_cell_length_b 28.8823
_cell_length_c 8.0480
_cell_angle_alpha 90.00
_cell_angle_beta 90.00
_cell_angle_gamma 90.00
loop_
_symmetry_equiv_pos_as_xyz
'x,y,z'
'-x,-y,z+1/2'
'-x,y,z'
'x,-y,z+1/2'
'x+1/2,y+1/2,z'
'-x+1/2,-y+1/2,z+1/2'
'-x+1/2,y+1/2,z'
'x+1/2,-y+1/2,z+1/2'
loop_
_atom_site_label
_atom_site_fract_x
_atom_site_fract_y
_atom_site_fract_z
K1 0.0000 0.0227 0.0000
K2 0.0000 0.3241 0.9466
Tl1 0.0000 0.0999 0.6404
Tl2 0.0000 0.2048 0.1431
Tl3 0.0000 0.2088 0.7368
Tl4 0.0000 0.3750 0.4777
Tl5 0.0000 0.4482 0.8255
Au1 0.0000 0.1092 0.2679
Au2 0.0000 0.2712 0.4342
Au3 0.0000 0.4526 0.2021
```